For BeZnCrO4, a crystal structure in Alexandria, relaxed with PBE+U gives the computed XRD peak list in this record (CuKα).

Most intense lines, 2θ = 15–90°, in order of rising 2θ:
(hkl), d [Å], I_rel
1 1 1, 3.597, 63
2 0 0, 2.671, 54
1 1 2, 2.503, 100
1 3 0, 2.438, 70
2 2 1, 2.100, 29
2 2 2, 1.799, 30
0 0 4, 1.508, 33
2 4 2, 1.434, 31

Crystal structure
Lattice parameters (Å, degrees): 5.341 8.224 6.037 90.00 90.00 90.00
Space group Cmcm (No. 63)
Symmetry-distinct sites (fractional):
Be 0.000 0.157 0.250 (multiplicity 4)
Zn 0.000 0.164 0.750 (multiplicity 4)
Cr 0.000 0.500 0.000 (multiplicity 4)
O 0.000 0.272 0.035 (multiplicity 8)
O 0.248 0.025 0.250 (multiplicity 8)